Record 1
Structure and simulated PXRD pattern of LiB6H6 (the GGA-PBE geometry in the Materials Project; Cu Kα, 1.54184 Å).
Peak positions follow from Bragg's law for the DFT cell and can differ from measured ones.

Largest 10 diffraction maxima, in order of falling intensity, 2θ from 10° to 80°:
15.09°, intensity 100; 15.96°, intensity 48; 17.36°, intensity 13; 18.05°, intensity 10; 18.44°, intensity 9; 30.42°, intensity 2; 32.25°, intensity 2; 37.38°, intensity 2; 36.57°, intensity 2; 42.83°, intensity 2

Atomic structure:
```
data_LiB6H6
_cell_length_a 6.803
_cell_length_b 9.623
_cell_length_c 9.865
_cell_angle_alpha 90.00
_cell_angle_beta 131.34
_cell_angle_gamma 90.00
_space_group_name_H-M_alt 'P 1'
_space_group_IT_number 1
loop_
_space_group_symop_operation_xyz
'x,y,z'
loop_
_atom_site_label
_atom_site_type_symbol
_atom_site_fract_x
_atom_site_fract_y
_atom_site_fract_z
Li1 Li 0.142 0.125 0.174
Li2 Li 0.142 0.375 0.674
Li3 Li 0.858 0.625 0.326
Li4 Li 0.858 0.875 0.826
B1 B 0.216 0.568 0.312
B2 B 0.216 0.932 0.812
B3 B 0.225 0.061 0.945
B4 B 0.225 0.439 0.445
B5 B 0.313 0.106 0.817
B6 B 0.313 0.394 0.317
B7 B 0.342 0.609 0.532
B8 B 0.342 0.891 0.032
B9 B 0.487 0.538 0.326
B10 B 0.487 0.962 0.826
B11 B 0.498 0.172 0.041
B12 B 0.498 0.328 0.541
B13 B 0.502 0.672 0.459
B14 B 0.502 0.828 0.959
B15 B 0.513 0.038 0.174
B16 B 0.513 0.462 0.674
B17 B 0.658 0.109 0.968
B18 B 0.658 0.391 0.468
B19 B 0.687 0.606 0.683
B20 B 0.687 0.894 0.183
B21 B 0.775 0.561 0.555
B22 B 0.775 0.939 0.055
B23 B 0.784 0.068 0.188
B24 B 0.784 0.432 0.688
H1 H 0.009 0.614 0.180
H2 H 0.009 0.886 0.680
H3 H 0.024 0.103 0.902
H4 H 0.024 0.397 0.402
H5 H 0.176 0.174 0.682
H6 H 0.176 0.326 0.182
H7 H 0.229 0.688 0.555
H8 H 0.229 0.812 0.055
H9 H 0.476 0.563 0.202
H10 H 0.476 0.937 0.702
H11 H 0.496 0.206 0.570
H12 H 0.496 0.294 0.070
H13 H 0.504 0.706 0.930
H14 H 0.504 0.794 0.430
H15 H 0.524 0.063 0.298
H16 H 0.524 0.437 0.798
H17 H 0.771 0.188 0.945
H18 H 0.771 0.312 0.445
H19 H 0.824 0.674 0.818
H20 H 0.824 0.826 0.318
H21 H 0.976 0.603 0.598
H22 H 0.976 0.897 0.098
H23 H 0.991 0.114 0.320
H24 H 0.991 0.386 0.820
```

---

Record 2
Structure and simulated PXRD pattern of U2Mo2C3 (the GGA-PBE geometry in the Materials Project; Cu Kα, 1.54184 Å).
Peak positions follow from Bragg's law for the DFT cell and can differ from measured ones.

Largest 10 diffraction maxima, in order of falling intensity, 2θ from 10° to 80°:
35.18°, intensity 100; 38.38°, intensity 85; 32.95°, intensity 57; 32.16°, intensity 44; 26.02°, intensity 34; 31.96°, intensity 29; 29.59°, intensity 25; 50.25°, intensity 25; 41.17°, intensity 25; 58.87°, intensity 22

Atomic structure:
```
data_U2Mo2C3
_cell_length_a 11.568
_cell_length_b 3.136
_cell_length_c 5.566
_cell_angle_alpha 90.00
_cell_angle_beta 105.73
_cell_angle_gamma 90.00
_space_group_name_H-M_alt 'P 1'
_space_group_IT_number 1
loop_
_space_group_symop_operation_xyz
'x,y,z'
loop_
_atom_site_label
_atom_site_type_symbol
_atom_site_fract_x
_atom_site_fract_y
_atom_site_fract_z
U1 U 0.104 0.000 0.330
U2 U 0.396 0.500 0.670
U3 U 0.604 0.500 0.330
U4 U 0.896 0.000 0.670
Mo1 Mo 0.155 0.500 0.867
Mo2 Mo 0.345 0.000 0.133
Mo3 Mo 0.655 0.000 0.867
Mo4 Mo 0.845 0.500 0.133
C1 C 0.000 0.500 0.000
C2 C 0.248 0.000 0.739
C3 C 0.252 0.500 0.261
C4 C 0.500 0.000 0.000
C5 C 0.748 0.500 0.739
C6 C 0.752 0.000 0.261
```

---

Record 3
Structure and simulated PXRD pattern of NaLuP2O7 (the GGA-PBE geometry in the Materials Project; Cu Kα, 1.54184 Å).
Peak positions follow from Bragg's law for the DFT cell and can differ from measured ones.

Largest 10 diffraction maxima, in order of falling intensity, 2θ from 10° to 80°:
21.28°, intensity 100; 21.82°, intensity 57; 14.14°, intensity 55; 30.51°, intensity 40; 33.94°, intensity 30; 33.09°, intensity 23; 27.03°, intensity 22; 19.68°, intensity 21; 31.01°, intensity 21; 43.34°, intensity 14

Atomic structure:
```
data_NaLuP2O7
_cell_length_a 9.078
_cell_length_b 5.415
_cell_length_c 13.961
_cell_angle_alpha 90.00
_cell_angle_beta 116.16
_cell_angle_gamma 90.00
_space_group_name_H-M_alt 'P 1'
_space_group_IT_number 1
loop_
_space_group_symop_operation_xyz
'x,y,z'
loop_
_atom_site_label
_atom_site_type_symbol
_atom_site_fract_x
_atom_site_fract_y
_atom_site_fract_z
Na1 Na 0.055 0.228 0.192
Na2 Na 0.055 0.272 0.692
Na3 Na 0.945 0.728 0.308
Na4 Na 0.945 0.772 0.808
Lu1 Lu 0.244 0.237 0.974
Lu2 Lu 0.244 0.263 0.474
Lu3 Lu 0.756 0.737 0.526
Lu4 Lu 0.756 0.763 0.026
P1 P 0.186 0.722 0.117
P2 P 0.186 0.778 0.617
P3 P 0.321 0.750 0.348
P4 P 0.321 0.750 0.848
P5 P 0.679 0.250 0.152
P6 P 0.679 0.250 0.652
P7 P 0.814 0.222 0.383
P8 P 0.814 0.278 0.883
O1 O 0.027 0.710 0.624
O2 O 0.027 0.790 0.124
O3 O 0.191 0.054 0.592
O4 O 0.191 0.446 0.092
O5 O 0.216 0.534 0.855
O6 O 0.216 0.966 0.355
O7 O 0.224 0.612 0.543
O8 O 0.224 0.888 0.043
O9 O 0.235 0.503 0.343
O10 O 0.235 0.997 0.843
O11 O 0.333 0.723 0.735
O12 O 0.333 0.777 0.235
O13 O 0.497 0.738 0.933
O14 O 0.497 0.762 0.433
O15 O 0.503 0.238 0.567
O16 O 0.503 0.262 0.067
O17 O 0.667 0.223 0.765
O18 O 0.667 0.277 0.265
O19 O 0.765 0.003 0.157
O20 O 0.765 0.497 0.657
O21 O 0.776 0.112 0.957
O22 O 0.776 0.388 0.457
O23 O 0.784 0.034 0.645
O24 O 0.784 0.466 0.145
O25 O 0.809 0.554 0.908
O26 O 0.809 0.946 0.408
O27 O 0.973 0.210 0.876
O28 O 0.973 0.290 0.376
```

---

Record 4
Structure and simulated PXRD pattern of Y5S7 (the GGA-PBE geometry in the Materials Project; Cu Kα, 1.54184 Å).
Peak positions follow from Bragg's law for the DFT cell and can differ from measured ones.

Largest 10 diffraction maxima, in order of falling intensity, 2θ from 10° to 80°:
24.39°, intensity 100; 23.81°, intensity 87; 33.09°, intensity 69; 31.43°, intensity 65; 34.15°, intensity 52; 47.61°, intensity 37; 41.93°, intensity 36; 38.92°, intensity 34; 43.34°, intensity 33; 31.82°, intensity 30

Atomic structure:
```
data_Y5S7
_cell_length_a 6.719
_cell_length_b 6.719
_cell_length_c 11.637
_cell_angle_alpha 103.97
_cell_angle_beta 103.97
_cell_angle_gamma 33.03
_space_group_name_H-M_alt 'P 1'
_space_group_IT_number 1
loop_
_space_group_symop_operation_xyz
'x,y,z'
loop_
_atom_site_label
_atom_site_type_symbol
_atom_site_fract_x
_atom_site_fract_y
_atom_site_fract_z
Y1 Y 0.000 0.000 0.000
Y2 Y 0.112 0.112 0.421
Y3 Y 0.300 0.300 0.187
Y4 Y 0.700 0.700 0.813
Y5 Y 0.888 0.888 0.579
S1 S 0.042 0.042 0.785
S2 S 0.259 0.259 0.647
S3 S 0.341 0.341 0.949
S4 S 0.500 0.500 0.500
S5 S 0.659 0.659 0.051
S6 S 0.741 0.741 0.353
S7 S 0.958 0.958 0.215
```

---

Record 5
Structure and simulated PXRD pattern of Cs3HoO3 (the GGA-PBE geometry in the Materials Project; Cu Kα, 1.54184 Å).
Peak positions follow from Bragg's law for the DFT cell and can differ from measured ones.

Largest 10 diffraction maxima, in order of falling intensity, 2θ from 10° to 80°:
27.62°, intensity 100; 26.38°, intensity 62; 25.24°, intensity 37; 27.43°, intensity 37; 50.90°, intensity 32; 25.39°, intensity 30; 34.41°, intensity 25; 30.82°, intensity 24; 35.32°, intensity 22; 29.47°, intensity 20

Atomic structure:
```
data_Cs3HoO3
_cell_length_a 7.615
_cell_length_b 7.615
_cell_length_c 7.619
_cell_angle_alpha 95.97
_cell_angle_beta 95.97
_cell_angle_gamma 115.87
_space_group_name_H-M_alt 'P 1'
_space_group_IT_number 1
loop_
_space_group_symop_operation_xyz
'x,y,z'
loop_
_atom_site_label
_atom_site_type_symbol
_atom_site_fract_x
_atom_site_fract_y
_atom_site_fract_z
Cs1 Cs 0.205 0.795 0.000
Cs2 Cs 0.262 0.738 0.500
Cs3 Cs 0.361 0.361 0.151
Cs4 Cs 0.639 0.639 0.849
Cs5 Cs 0.738 0.262 0.500
Cs6 Cs 0.795 0.205 0.000
Ho1 Ho 0.173 0.173 0.649
Ho2 Ho 0.827 0.827 0.351
O1 O 0.098 0.098 0.354
O2 O 0.164 0.434 0.765
O3 O 0.434 0.164 0.765
O4 O 0.566 0.836 0.235
O5 O 0.836 0.566 0.235
O6 O 0.902 0.902 0.646
```

---

Record 6
Structure and simulated PXRD pattern of KH4PbI3O2 (the GGA-PBE geometry in the Materials Project; Cu Kα, 1.54184 Å).
Peak positions follow from Bragg's law for the DFT cell and can differ from measured ones.

Largest 10 diffraction maxima, in order of falling intensity, 2θ from 10° to 80°:
37.94°, intensity 100; 26.07°, intensity 90; 26.94°, intensity 83; 24.84°, intensity 70; 28.34°, intensity 62; 22.41°, intensity 52; 38.91°, intensity 41; 24.06°, intensity 34; 35.98°, intensity 29; 28.59°, intensity 28

Atomic structure:
```
data_KH4PbI3O2
_cell_length_a 10.393
_cell_length_b 22.910
_cell_length_c 4.629
_cell_angle_alpha 90.00
_cell_angle_beta 90.00
_cell_angle_gamma 90.00
_space_group_name_H-M_alt 'P 1'
_space_group_IT_number 1
loop_
_space_group_symop_operation_xyz
'x,y,z'
loop_
_atom_site_label
_atom_site_type_symbol
_atom_site_fract_x
_atom_site_fract_y
_atom_site_fract_z
K1 K 0.139 0.201 0.000
K2 K 0.361 0.701 0.500
K3 K 0.639 0.299 0.000
K4 K 0.861 0.799 0.500
H1 H 0.019 0.004 0.323
H2 H 0.030 0.862 0.001
H3 H 0.082 0.093 0.500
H4 H 0.145 0.993 0.504
H5 H 0.355 0.493 0.004
H6 H 0.418 0.593 0.000
H7 H 0.470 0.362 0.501
H8 H 0.481 0.504 0.823
H9 H 0.519 0.496 0.323
H10 H 0.530 0.638 0.001
H11 H 0.582 0.407 0.500
H12 H 0.645 0.507 0.504
H13 H 0.855 0.007 0.004
H14 H 0.918 0.907 0.000
H15 H 0.970 0.138 0.501
H16 H 0.981 0.996 0.823
Pb1 Pb 0.042 0.405 0.500
Pb2 Pb 0.458 0.905 0.000
Pb3 Pb 0.542 0.095 0.500
Pb4 Pb 0.958 0.595 0.000
I1 I 0.083 0.716 0.000
I2 I 0.157 0.549 0.499
I3 I 0.248 0.369 0.999
I4 I 0.252 0.869 0.499
I5 I 0.343 0.049 0.999
I6 I 0.417 0.216 0.500
I7 I 0.583 0.784 0.000
I8 I 0.657 0.951 0.499
I9 I 0.748 0.131 0.999
I10 I 0.752 0.631 0.499
I11 I 0.843 0.451 0.999
I12 I 0.917 0.284 0.500
O1 O 0.064 0.014 0.507
O2 O 0.064 0.136 0.499
O3 O 0.436 0.514 0.007
O4 O 0.436 0.636 0.999
O5 O 0.564 0.364 0.499
O6 O 0.564 0.486 0.507
O7 O 0.936 0.864 0.999
O8 O 0.936 0.986 0.007
```

---

Which formula does entry 2 have? U2Mo2C3